No. 1
Starting from a DFT-relaxed cell (PBE, the Materials Project), the powder X-ray diffraction pattern of Li2Ta3S6 was calculated for Cu Ka.
Neutral-atom scattering factors, no anomalous dispersion.

Structure:
abc: 5.8092 5.8092 12.9861
angles: 90.00 90.00 120.00
Sites, in units of the cell vectors:
1 Li 0.0000 0.0000 0.2500
2 Li 0.0000 0.0000 0.7500
3 Li 0.3333 0.6667 0.2500
4 Li 0.6667 0.3333 0.7500
5 Ta 0.0000 0.0000 0.0000
6 Ta 0.0000 0.0000 0.5000
7 Ta 0.3333 0.6667 0.5007
8 Ta 0.3333 0.6667 0.9993
9 Ta 0.6667 0.3333 0.0007
10 Ta 0.6667 0.3333 0.4993
11 S 0.0009 0.3345 0.8796
12 S 0.0009 0.6664 0.6204
13 S 0.3336 0.3345 0.6204
14 S 0.3336 0.9991 0.8796
15 S 0.3345 0.0009 0.1204
16 S 0.3345 0.3336 0.3796
17 S 0.6655 0.6664 0.8796
18 S 0.6655 0.9991 0.6204
19 S 0.6664 0.0009 0.3796
20 S 0.6664 0.6655 0.1204
21 S 0.9991 0.3336 0.1204
22 S 0.9991 0.6655 0.3796

Main lines, low angle first (15 to 90 degrees two-theta):
d (Å)	I/Imax
2.905	47
2.651	100
2.165	94
1.736	31
1.677	25
1.624	32
1.417	26
1.326	28

No. 2
Starting from a DFT-relaxed cell (PBE, the Materials Project), the powder X-ray diffraction pattern of MgAl2O4 was calculated for Cu Ka.
Neutral-atom scattering factors, no anomalous dispersion.

Structure:
abc: 5.7664 5.7664 19.2083
angles: 98.73 98.73 59.90
Sites, in units of the cell vectors:
1 Mg 0.0000 0.0000 0.0000
2 Mg 0.1566 0.1566 0.4750
3 Mg 0.3093 0.3093 0.9439
4 Mg 0.4059 0.4059 0.2237
5 Mg 0.5006 0.5006 0.5081
6 Mg 0.5598 0.5598 0.6892
7 Mg 0.7500 0.7500 0.2561
8 Mg 0.7787 0.7787 0.8465
9 Al 0.0249 0.5334 0.0967
10 Al 0.0312 0.5291 0.5975
11 Al 0.0317 0.0317 0.5973
12 Al 0.0616 0.0616 0.1897
13 Al 0.2544 0.2544 0.7536
14 Al 0.2853 0.2853 0.3471
15 Al 0.2852 0.7713 0.3471
16 Al 0.2878 0.7773 0.8476
17 Al 0.5291 0.0312 0.5975
18 Al 0.5334 0.0249 0.0967
19 Al 0.5330 0.5330 0.0971
20 Al 0.6544 0.6544 0.9714
21 Al 0.7713 0.2852 0.3471
22 Al 0.7773 0.2878 0.8476
23 Al 0.8103 0.8103 0.4361
24 Al 0.9055 0.9055 0.7195
25 O 0.0881 0.0881 0.7838
26 O 0.0945 0.0945 0.2890
27 O 0.0951 0.6125 0.7814
28 O 0.1230 0.5824 0.2932
29 O 0.1744 0.7384 0.6545
30 O 0.2178 0.2178 0.6585
31 O 0.2196 0.2196 0.1549
32 O 0.2198 0.7101 0.1550
33 O 0.3330 0.3330 0.5464
34 O 0.3333 0.8747 0.5463
35 O 0.3478 0.3478 0.0498
36 O 0.3809 0.8242 0.0384
37 O 0.4521 0.9737 0.4044
38 O 0.4662 0.4662 0.4034
39 O 0.4712 0.9318 0.9102
40 O 0.4800 0.4800 0.9067
41 O 0.5824 0.1230 0.2932
42 O 0.5822 0.5822 0.2932
43 O 0.5863 0.5863 0.7930
44 O 0.6125 0.0951 0.7814
45 O 0.7101 0.2198 0.1550
46 O 0.7157 0.7157 0.1505
47 O 0.7370 0.7370 0.6554
48 O 0.7384 0.1744 0.6545
49 O 0.8242 0.3809 0.0384
50 O 0.8262 0.8262 0.0374
51 O 0.8427 0.8427 0.5344
52 O 0.8747 0.3333 0.5463
53 O 0.9318 0.4712 0.9102
54 O 0.9734 0.9734 0.8955
55 O 0.9737 0.4521 0.4044
56 O 0.9736 0.9736 0.4045

Main lines, low angle first (15 to 90 degrees two-theta):
d (Å)	I/Imax
4.716	43
2.465	70
2.459	100
2.041	97
1.573	34
1.570	43
1.445	43
1.442	45

No. 3
Starting from a DFT-relaxed cell (PBE, the Materials Project), the powder X-ray diffraction pattern of Th2Mn17C2 was calculated for Cu Ka.
Neutral-atom scattering factors, no anomalous dispersion.

Structure:
abc: 6.4786 6.4786 6.4616
angles: 96.49 96.49 84.39
Sites, in units of the cell vectors:
1 Th 0.1440 0.1440 0.3341
2 Th 0.8560 0.8560 0.6659
3 Mn 0.0000 0.5000 0.0000
4 Mn 0.1570 0.1570 0.8631
5 Mn 0.1598 0.6385 0.3397
6 Mn 0.2225 0.4964 0.7215
7 Mn 0.2338 0.7662 0.0000
8 Mn 0.3615 0.8402 0.6603
9 Mn 0.4064 0.4064 0.0978
10 Mn 0.4964 0.2225 0.7215
11 Mn 0.5000 0.0000 0.0000
12 Mn 0.5000 0.5000 0.5000
13 Mn 0.5036 0.7775 0.2785
14 Mn 0.5936 0.5936 0.9022
15 Mn 0.6385 0.1598 0.3397
16 Mn 0.7662 0.2338 0.0000
17 Mn 0.7775 0.5036 0.2785
18 Mn 0.8402 0.3615 0.6603
19 Mn 0.8430 0.8430 0.1369
20 C 0.0000 0.5000 0.5000
21 C 0.5000 0.0000 0.5000

Main lines, low angle first (15 to 90 degrees two-theta):
d (Å)	I/Imax
2.987	76
2.972	35
2.504	46
2.389	40
2.176	42
2.154	75
2.140	100
2.061	59